(1)
The following is a calculated X-ray powder pattern of Eu5Ge3. It was derived from a structure optimized by DFT (PBE), using Cu Kα X-rays.

The 8 most intense peaks (15 to 90 degrees two-theta), sorted by position:
- 25.88 deg, I = 17
- 28.58 deg, I = 15
- 30.93 deg, I = 100
- 32.02 deg, I = 18
- 32.84 deg, I = 55
- 35.92 deg, I = 42
- 50.97 deg, I = 21
- 54.97 deg, I = 19

Atomic structure:
```
Eu5Ge3
1.0
-3.954 3.954 7.532
3.954 -3.954 7.532
3.954 3.954 -7.532
Eu Ge
10 6
direct
0.000 0.000 0.000
0.031 0.531 0.852
0.179 0.031 0.500
0.321 0.821 0.852
0.469 0.321 0.500
0.500 0.500 0.000
0.531 0.679 0.500
0.679 0.179 0.148
0.821 0.969 0.500
0.969 0.469 0.148
0.116 0.384 0.500
0.250 0.250 0.000
0.384 0.884 0.269
0.616 0.116 0.731
0.750 0.750 0.000
0.884 0.616 0.500
```

(2)
The following is a calculated X-ray powder pattern of EuGe3. It was derived from a structure optimized by DFT (PBE), using Cu Kα X-rays.

The 8 most intense peaks (15 to 90 degrees two-theta), sorted by position:
- 23.84 deg, I = 26
- 32.94 deg, I = 23
- 34.97 deg, I = 30
- 37.43 deg, I = 100
- 48.80 deg, I = 15
- 58.82 deg, I = 14
- 64.36 deg, I = 28
- 70.30 deg, I = 16

Atomic structure:
```
EuGe3
1.0
6.279 0.000 0.000
-3.140 5.438 0.000
0.000 0.000 5.131
Eu Ge
2 6
direct
0.333 0.667 0.250
0.667 0.333 0.750
0.141 0.283 0.750
0.141 0.859 0.750
0.283 0.141 0.250
0.717 0.859 0.750
0.859 0.141 0.250
0.859 0.717 0.250
```